Starting from the GGA+U geometry in Alexandria, the powder diffraction line list of Li3MoP8O24 was computed for Cu Kα X-rays.
Intensities are scaled so that the largest is 100.

Structure:
Cell: 12.1204 8.3740 10.1169 Å, 90.00 119.67 90.00°
Space group C2 (No. 5)
Unique sites:
Li  0.0000  0.0000  0.0000
Li  0.2135  0.8126  0.2038
Mo  0.0000  0.0844  0.5000
P  0.0002  0.7704  0.2781
P  0.0105  0.2950  0.2254
P  0.1965  0.5479  0.9426
P  0.1993  0.5258  0.4588
O  0.0337  0.9140  0.6515
O  0.0354  0.2496  0.6576
O  0.0422  0.8052  0.1672
O  0.0500  0.1588  0.1684
O  0.0943  0.4008  0.9036
O  0.1068  0.6771  0.4278
O  0.1197  0.6572  0.7854
O  0.1257  0.4204  0.3084
O  0.1851  0.0898  0.5515
O  0.1931  0.9805  0.0636
O  0.2100  0.6303  0.0788
O  0.2218  0.4429  0.5978

Peak list (10 most intense, 15° ≤ 2θ ≤ 90°, low angle first)
h k l  Position (°2θ)  I/Imax
2 0 0  16.84  31
2 0 -2  18.84  56
1 1 1  19.22  24
1 1 -2  20.57  64
3 1 -2  25.67  41
2 2 0  27.21  57
3 1 0  27.55  56
1 1 -3  29.31  19
0 2 2  29.46  100
4 2 -2  36.79  26